Theoretical PXRD pattern of UInHgCl6 for λ = 1.5418 Å (Cu Kα), from a structure optimized by DFT (PBE).
No peak broadening, texture or thermal motion is included.

Crystal structure
```
data_UInHgCl6
_chemical_formula_sum 'U2 In2 Hg2 Cl12'
_cell_length_a 7.8075
_cell_length_b 7.8075
_cell_length_c 15.0206
_cell_angle_alpha 90.00
_cell_angle_beta 90.00
_cell_angle_gamma 120.00
_space_group_name_H-M_alt 'P -3 1 c'
_space_group_IT_number 163
_space_group_name_Hall '-P 3 2c'
loop_
_atom_site_label
_atom_site_type_symbol
_atom_site_fract_x
_atom_site_fract_y
_atom_site_fract_z
U1 U 0.3333 0.6667 0.2500
In1 In 0.3333 0.6667 0.7500
Hg1 Hg 0.0000 0.0000 0.0000
Cl1 Cl 0.0592 0.4059 0.1533
```

Largest 6 diffraction maxima, most intense first, 2θ = 10–90°:
| Position (°2θ) | intensity |
| --- | --- |
| 17.6 | 100.0 |
| 33.1 | 56.6 |
| 22.8 | 38.2 |
| 37.2 | 30.2 |
| 29.0 | 25.9 |
| 40.0 | 19.1 |

Theoretical PXRD pattern of RePdO6 for λ = 1.5418 Å (Cu Kα), from a structure optimized by DFT (PBE).
No peak broadening, texture or thermal motion is included.

Crystal structure
```
data_RePdO6
_chemical_formula_sum 'Re4 Pd4 O24'
_cell_length_a 7.6588
_cell_length_b 7.6588
_cell_length_c 7.6588
_cell_angle_alpha 90.00
_cell_angle_beta 90.00
_cell_angle_gamma 90.00
_space_group_name_H-M_alt 'F m -3 m'
_space_group_IT_number 225
_space_group_name_Hall '-F 4 2 3'
loop_
_atom_site_label
_atom_site_type_symbol
_atom_site_fract_x
_atom_site_fract_y
_atom_site_fract_z
Re1 Re 0.0000 0.0000 0.0000
Pd1 Pd 0.0000 0.0000 0.5000
O1 O 0.0000 0.0000 0.2434
```

Largest 6 diffraction maxima, most intense first, 2θ = 10–90°:
| Position (°2θ) | intensity |
| --- | --- |
| 23.2 | 100.0 |
| 33.1 | 50.2 |
| 53.5 | 39.4 |
| 59.1 | 20.1 |
| 47.5 | 19.9 |
| 74.3 | 18.0 |

Theoretical PXRD pattern of GaHS4 for λ = 1.5418 Å (Cu Kα), from a structure optimized by DFT (PBE).
No peak broadening, texture or thermal motion is included.

Crystal structure
```
data_GaHS4
_chemical_formula_sum 'Ga2 H2 S8'
_cell_length_a 5.5493
_cell_length_b 6.0775
_cell_length_c 9.6077
_cell_angle_alpha 87.65
_cell_angle_beta 85.97
_cell_angle_gamma 81.62
_space_group_name_H-M_alt 'P -1'
_space_group_IT_number 2
loop_
_space_group_symop_operation_xyz
'x,y,z'
'-x,-y,-z'
loop_
_atom_site_label
_atom_site_type_symbol
_atom_site_fract_x
_atom_site_fract_y
_atom_site_fract_z
Ga1 Ga 0.1036 0.0271 0.2612
H1 H 0.3771 0.3231 0.7277
S1 S 0.2601 0.3352 0.6041
S2 S 0.2978 0.6983 0.1302
S3 S 0.3152 0.9616 0.9927
S4 S 0.4586 0.8304 0.5149
```

Largest 6 diffraction maxima, most intense first, 2θ = 10–90°:
| Position (°2θ) | intensity |
| --- | --- |
| 14.7 | 100.0 |
| 23.9 | 97.5 |
| 23.0 | 46.9 |
| 30.5 | 41.6 |
| 34.6 | 38.6 |
| 41.0 | 36.4 |

Theoretical PXRD pattern of Tm4FeTe for λ = 1.5418 Å (Cu Kα), from a structure optimized by DFT (PBE).
No peak broadening, texture or thermal motion is included.

Crystal structure
```
data_Tm4FeTe
_chemical_formula_sum 'Tm16 Fe4 Te4'
_cell_length_a 7.9806
_cell_length_b 3.9200
_cell_length_c 19.0369
_cell_angle_alpha 90.00
_cell_angle_beta 90.00
_cell_angle_gamma 90.00
_space_group_name_H-M_alt 'P n m a'
_space_group_IT_number 62
loop_
_space_group_symop_operation_xyz
'x,y,z'
'-x,-y,-z'
'-x+1/2,-y,z+1/2'
'x+1/2,y,-z+1/2'
'x+1/2,-y+1/2,-z+1/2'
'-x+1/2,y+1/2,z+1/2'
'-x,y+1/2,-z'
'x,-y+1/2,z'
loop_
_atom_site_label
_atom_site_type_symbol
_atom_site_fract_x
_atom_site_fract_y
_atom_site_fract_z
Tm1 Tm 0.0067 0.2500 0.0662
Tm2 Tm 0.0521 0.7500 0.2120
Tm3 Tm 0.1359 0.7500 0.6419
Tm4 Tm 0.1427 0.7500 0.4565
Fe1 Fe 0.2479 0.2500 0.5532
Te1 Te 0.2467 0.2500 0.3096
```

Largest 6 diffraction maxima, most intense first, 2θ = 10–90°:
| Position (°2θ) | intensity |
| --- | --- |
| 31.6 | 100.0 |
| 35.1 | 63.3 |
| 32.0 | 42.6 |
| 34.0 | 36.5 |
| 46.3 | 33.0 |
| 32.5 | 32.7 |